[1]
Tm3Tl6Br14: computed powder XRD pattern (Cu Kα (λ = 1.5418 Å)), based on a GGA-PBE-relaxed structure.

Largest 10 diffraction maxima, in order of rising 2θ, 2θ = 10–80°:
index	two_theta	I_rel
0 1 1	14.78	23
1 1 1	19.12	27
0 2 1	20.95	100
2 1 1	25.71	28
3 0 1	28.47	30
2 2 0	29.73	47
2 0 2	29.87	48
3 1 0	30.98	26
4 -1 1	33.41	50
4 0 1	36.66	25

Cell and atoms:
```
data_Tm3Tl6Br14
_symmetry_space_group_name_H-M 'P 3'
_symmetry_Int_Tables_number 143
_symmetry_space_group_name_Hall 'P 3'
_cell_length_a 12.0192
_cell_length_b 12.0192
_cell_length_c 7.3111
_cell_angle_alpha 90.00
_cell_angle_beta 90.00
_cell_angle_gamma 120.00
loop_
_atom_site_label
_atom_site_type_symbol
_atom_site_fract_x
_atom_site_fract_y
_atom_site_fract_z
Tm1 Tm 0.0000 0.0000 0.0000
Tm2 Tm 0.3333 0.6667 0.4593
Tm3 Tm 0.6667 0.3333 0.0900
Tl1 Tl 0.0288 0.4568 0.8847
Tl2 Tl 0.3201 0.1870 0.4379
Br1 Br 0.0000 0.0000 0.6389
Br2 Br 0.0915 0.2316 0.1365
Br3 Br 0.1799 0.7406 0.6015
Br4 Br 0.3333 0.6667 0.0985
Br5 Br 0.4479 0.2557 0.8763
Br6 Br 0.5364 0.1144 0.3091
```

---

[2]
U2TlBr11: computed powder XRD pattern (Cu Kα (λ = 1.5418 Å)), based on a GGA-PBE-relaxed structure.

Largest 10 diffraction maxima, in order of rising 2θ, 2θ = 10–80°:
index	two_theta	I_rel
0 0 2	12.10	35
1 1 2	15.47	73
1 2 1	16.37	100
2 0 2	18.24	47
1 3 0	21.56	22
4 2 0	30.68	22
2 2 4	31.23	67
3 3 2	31.59	46
3 1 4	32.74	25
6 0 4	48.77	29

Cell and atoms:
```
data_U2TlBr11
_symmetry_space_group_name_H-M 'I b a m'
_symmetry_Int_Tables_number 72
_symmetry_space_group_name_Hall '-I 2 2c'
_cell_length_a 13.018
_cell_length_b 13.048
_cell_length_c 14.625
_cell_angle_alpha 90.00
_cell_angle_beta 90.00
_cell_angle_gamma 90.00
loop_
_atom_site_label
_atom_site_type_symbol
_atom_site_fract_x
_atom_site_fract_y
_atom_site_fract_z
U1 U 0.159 0.155 0.000
Tl1 Tl 0.000 0.500 0.250
Br1 Br 0.000 0.000 0.000
Br2 Br 0.056 0.258 0.130
Br3 Br 0.199 0.204 0.500
Br4 Br 0.239 0.449 0.370
```

---

[3]
UTl2Br6: computed powder XRD pattern (Cu Kα (λ = 1.5418 Å)), based on a GGA-PBE-relaxed structure.

Largest 10 diffraction maxima, in order of rising 2θ, 2θ = 10–80°:
index	two_theta	I_rel
0 1 1	13.30	100
1 0 -2	14.50	40
1 1 1	22.25	49
1 1 -3	23.16	84
2 1 -1	26.42	61
2 2 -2	31.49	47
0 0 4	33.15	50
1 3 0	34.78	38
3 1 -1	39.61	61
3 1 -5	41.24	46

Cell and atoms:
```
data_UTl2Br6
_symmetry_space_group_name_H-M 'P 1 21/c 1'
_symmetry_Int_Tables_number 14
_symmetry_space_group_name_Hall '-P 2ybc'
_cell_length_a 7.689
_cell_length_b 8.450
_cell_length_c 12.939
_cell_angle_alpha 90.00
_cell_angle_beta 123.35
_cell_angle_gamma 90.00
loop_
_atom_site_label
_atom_site_type_symbol
_atom_site_fract_x
_atom_site_fract_y
_atom_site_fract_z
U1 U 0.000 0.000 0.000
Tl1 Tl 0.289 0.093 0.760
Br1 Br 0.133 0.031 0.248
Br2 Br 0.226 0.720 0.056
Br3 Br 0.346 0.175 0.047
```

---

[4]
TlW2Br: computed powder XRD pattern (Cu Kα (λ = 1.5418 Å)), based on a GGA-PBE-relaxed structure.

Largest 10 diffraction maxima, in order of rising 2θ, 2θ = 10–80°:
index	two_theta	I_rel
0 0 1	10.18	100
1 0 1	30.62	22
0 0 3	30.87	16
1 0 -2	31.31	19
0 1 2	35.11	62
1 0 2	36.91	22
1 0 -3	37.88	18
1 1 0	39.56	38
1 1 -1	39.75	36
0 1 3	42.33	26

Cell and atoms:
```
data_TlW2Br
_symmetry_space_group_name_H-M 'P 1 m 1'
_symmetry_Int_Tables_number 6
_symmetry_space_group_name_Hall 'P -2y'
_cell_length_a 3.332
_cell_length_b 3.161
_cell_length_c 8.808
_cell_angle_alpha 90.00
_cell_angle_beta 99.46
_cell_angle_gamma 90.00
loop_
_atom_site_label
_atom_site_type_symbol
_atom_site_fract_x
_atom_site_fract_y
_atom_site_fract_z
Tl1 Tl 0.000 0.000 0.000
W1 W 0.402 0.500 0.756
W2 W 0.795 0.000 0.601
Br1 Br 0.678 0.500 0.359
```

---

[5]
Y2TlBr: computed powder XRD pattern (Cu Kα (λ = 1.5418 Å)), based on a GGA-PBE-relaxed structure.

Largest 10 diffraction maxima, in order of rising 2θ, 2θ = 10–80°:
index	two_theta	I_rel
0 0 9	28.60	9
1 0 4	30.69	100
0 1 8	38.03	56
0 0 12	38.46	18
1 1 0	49.29	26
0 2 4	59.19	16
1 0 16	60.10	15
2 0 8	63.91	12
1 1 12	64.20	23
0 1 20	73.65	9

Cell and atoms:
```
data_Y2TlBr
_symmetry_space_group_name_H-M 'R -3 m'
_symmetry_Int_Tables_number 166
_symmetry_space_group_name_Hall '-R 3 2"'
_cell_length_a 3.6973
_cell_length_b 3.6973
_cell_length_c 28.0905
_cell_angle_alpha 90.00
_cell_angle_beta 90.00
_cell_angle_gamma 120.00
loop_
_atom_site_label
_atom_site_type_symbol
_atom_site_fract_x
_atom_site_fract_y
_atom_site_fract_z
Y1 Y 0.0000 0.0000 0.2473
Tl1 Tl 0.0000 0.0000 0.0000
Br1 Br 0.0000 0.0000 0.5000
```

---

[6]
YTlBr: computed powder XRD pattern (Cu Kα (λ = 1.5418 Å)), based on a GGA-PBE-relaxed structure.

Largest 10 diffraction maxima, in order of rising 2θ, 2θ = 10–80°:
index	two_theta	I_rel
0 0 1	10.99	23
0 0 2	22.08	18
1 0 1	29.88	100
0 0 3	33.39	11
0 1 2	35.70	51
0 1 3	43.92	22
1 1 0	48.98	23
0 2 1	58.44	15
1 1 3	60.58	12
2 1 1	79.65	12

Cell and atoms:
```
data_YTlBr
_symmetry_space_group_name_H-M 'P 3 m 1'
_symmetry_Int_Tables_number 156
_symmetry_space_group_name_Hall 'P 3 -2"'
_cell_length_a 3.7193
_cell_length_b 3.7193
_cell_length_c 8.0501
_cell_angle_alpha 90.00
_cell_angle_beta 90.00
_cell_angle_gamma 120.00
loop_
_atom_site_label
_atom_site_type_symbol
_atom_site_fract_x
_atom_site_fract_y
_atom_site_fract_z
Y1 Y 0.0000 0.0000 0.0000
Tl1 Tl 0.3333 0.6667 0.6909
Br1 Br 0.6667 0.3333 0.2438
```

---

[7]
TlZnBr2: computed powder XRD pattern (Cu Kα (λ = 1.5418 Å)), based on a GGA-PBE-relaxed structure.

Largest 10 diffraction maxima, in order of rising 2θ, 2θ = 10–80°:
index	two_theta	I_rel
1 0 -1	22.46	70
1 1 0	28.22	65
0 0 2	28.57	100
1 0 1	29.80	39
1 0 -2	30.66	31
1 1 1	34.65	38
0 2 0	34.98	47
1 1 -2	35.41	39
0 1 3	47.17	41
2 2 -1	56.63	29

Cell and atoms:
```
data_TlZnBr2
_symmetry_space_group_name_H-M 'P 1 m 1'
_symmetry_Int_Tables_number 6
_symmetry_space_group_name_Hall 'P -2y'
_cell_length_a 4.204
_cell_length_b 5.130
_cell_length_c 6.531
_cell_angle_alpha 90.00
_cell_angle_beta 107.17
_cell_angle_gamma 90.00
loop_
_atom_site_label
_atom_site_type_symbol
_atom_site_fract_x
_atom_site_fract_y
_atom_site_fract_z
Tl1 Tl 0.000 0.000 0.000
Zn1 Zn 0.719 0.500 0.515
Br1 Br 0.435 0.500 0.856
Br2 Br 0.712 0.000 0.445
```

---

[8]
Tl2Zn2Br5: computed powder XRD pattern (Cu Kα (λ = 1.5418 Å)), based on a GGA-PBE-relaxed structure.

Largest 10 diffraction maxima, in order of rising 2θ, 2θ = 10–80°:
index	two_theta	I_rel
1 1 1	22.25	67
2 0 -2	23.38	51
4 0 -1	24.88	43
4 0 0	26.16	58
1 1 -2	27.97	100
3 1 1	30.85	69
0 2 0	32.06	85
5 1 0	36.69	36
6 0 -2	39.04	55
4 2 0	41.83	33

Cell and atoms:
```
data_Tl2Zn2Br5
_symmetry_space_group_name_H-M 'C 1 2/m 1'
_symmetry_Int_Tables_number 12
_symmetry_space_group_name_Hall '-C 2y'
_cell_length_a 14.450
_cell_length_b 5.584
_cell_length_c 7.791
_cell_angle_alpha 90.00
_cell_angle_beta 109.44
_cell_angle_gamma 90.00
loop_
_atom_site_label
_atom_site_type_symbol
_atom_site_fract_x
_atom_site_fract_y
_atom_site_fract_z
Tl1 Tl 0.104 0.000 0.310
Zn1 Zn 0.153 0.500 0.886
Br1 Br 0.000 0.500 0.000
Br2 Br 0.154 0.500 0.563
Br3 Br 0.157 0.000 0.916
```

---

[9]
TlZn2Br: computed powder XRD pattern (Cu Kα (λ = 1.5418 Å)), based on a GGA-PBE-relaxed structure.

Largest 10 diffraction maxima, in order of rising 2θ, 2θ = 10–80°:
index	two_theta	I_rel
0 0 1	12.11	59
0 1 1	26.36	100
1 0 1	29.37	50
1 0 -2	29.93	50
1 1 0	33.63	72
1 1 -1	33.80	77
0 1 2	33.98	63
0 0 3	36.90	50
1 1 1	37.84	57
1 0 2	38.32	78

Cell and atoms:
```
data_TlZn2Br
_symmetry_space_group_name_H-M 'P 1 m 1'
_symmetry_Int_Tables_number 6
_symmetry_space_group_name_Hall 'P -2y'
_cell_length_a 3.834
_cell_length_b 3.813
_cell_length_c 7.520
_cell_angle_alpha 90.00
_cell_angle_beta 103.68
_cell_angle_gamma 90.00
loop_
_atom_site_label
_atom_site_type_symbol
_atom_site_fract_x
_atom_site_fract_y
_atom_site_fract_z
Tl1 Tl 0.000 0.000 0.000
Zn1 Zn 0.332 0.000 0.651
Zn2 Zn 0.818 0.500 0.620
Br1 Br 0.622 0.500 0.255
```

---

[10]
TlZnBr4: computed powder XRD pattern (Cu Kα (λ = 1.5418 Å)), based on a GGA-PBE-relaxed structure.

Largest 10 diffraction maxima, in order of rising 2θ, 2θ = 10–80°:
index	two_theta	I_rel
1 0 1	16.45	40
1 1 2	25.57	100
1 0 3	26.54	35
2 1 1	34.15	37
2 0 4	42.30	47
2 2 0	42.52	22
3 0 1	45.89	12
1 1 6	49.89	14
3 1 2	50.28	26
3 2 3	59.99	13

Cell and atoms:
```
data_TlZnBr4
_symmetry_space_group_name_H-M 'P -4 2 c'
_symmetry_Int_Tables_number 112
_symmetry_space_group_name_Hall 'P -4 2c'
_cell_length_a 6.013
_cell_length_b 6.013
_cell_length_c 12.147
_cell_angle_alpha 90.00
_cell_angle_beta 90.00
_cell_angle_gamma 90.00
loop_
_atom_site_label
_atom_site_type_symbol
_atom_site_fract_x
_atom_site_fract_y
_atom_site_fract_z
Tl1 Tl 0.000 0.500 0.250
Zn1 Zn 0.000 0.000 0.000
Br1 Br 0.205 0.268 0.888
```

---

[11]
TlZnBr3: computed powder XRD pattern (Cu Kα (λ = 1.5418 Å)), based on a GGA-PBE-relaxed structure.

Largest 10 diffraction maxima, in order of rising 2θ, 2θ = 10–80°:
index	two_theta	I_rel
0 0 1	16.28	27
1 1 -1	19.64	18
3 1 0	22.55	65
2 2 -1	27.70	100
3 1 1	28.28	84
1 3 1	32.51	34
0 0 2	32.90	19
0 4 0	36.18	23
5 3 0	44.50	30
3 5 1	53.75	20

Cell and atoms:
```
data_TlZnBr3
_symmetry_space_group_name_H-M 'C 1 2/m 1'
_symmetry_Int_Tables_number 12
_symmetry_space_group_name_Hall '-C 2y'
_cell_length_a 12.917
_cell_length_b 9.934
_cell_length_c 5.448
_cell_angle_alpha 90.00
_cell_angle_beta 91.82
_cell_angle_gamma 90.00
loop_
_atom_site_label
_atom_site_type_symbol
_atom_site_fract_x
_atom_site_fract_y
_atom_site_fract_z
Tl1 Tl 0.207 0.000 0.307
Zn1 Zn 0.000 0.329 0.500
Br1 Br 0.100 0.500 0.264
Br2 Br 0.126 0.206 0.738
```

---

[12]
ZrTl2Br: computed powder XRD pattern (Cu Kα (λ = 1.5418 Å)), based on a GGA-PBE-relaxed structure.

Largest 10 diffraction maxima, in order of rising 2θ, 2θ = 10–80°:
index	two_theta	I_rel
0 0 9	24.24	17
1 0 4	31.83	100
0 0 12	32.52	18
0 1 5	32.88	16
1 0 7	35.54	13
0 1 8	37.12	52
0 1 11	42.67	14
1 1 0	53.06	26
0 2 4	63.22	14
1 1 12	63.62	16

Cell and atoms:
```
data_ZrTl2Br
_symmetry_space_group_name_H-M 'R 3 m'
_symmetry_Int_Tables_number 160
_symmetry_space_group_name_Hall 'R 3 -2"'
_cell_length_a 3.4521
_cell_length_b 3.4521
_cell_length_c 33.0433
_cell_angle_alpha 90.00
_cell_angle_beta 90.00
_cell_angle_gamma 120.00
loop_
_atom_site_label
_atom_site_type_symbol
_atom_site_fract_x
_atom_site_fract_y
_atom_site_fract_z
Zr1 Zr 0.0000 0.0000 0.0000
Tl1 Tl 0.0000 0.0000 0.2591
Tl2 Tl 0.0000 0.0000 0.5081
Br1 Br 0.0000 0.0000 0.7242
```